Na3Hg4Pd4: simulated X-ray diffraction stick pattern (a wavelength of 1.5418 Å), based on a DFT-relaxed cell (GGA-PBE, Alexandria).
Kinematic intensities with the Lorentz-polarization factor, no thermal factor.

Cell and atoms:
abc: 7.159 7.159 7.159
angles: 109.47 109.47 109.47
Element x y z (fractional)
Na 0.000 0.500 0.500
Na 0.500 0.000 0.500
Na 0.500 0.500 0.000
Hg 0.000 0.000 0.601
Hg 0.000 0.601 0.000
Hg 0.399 0.399 0.399
Hg 0.601 0.000 0.000
Pd 0.000 0.000 0.236
Pd 0.000 0.236 0.000
Pd 0.236 0.000 0.000
Pd 0.764 0.764 0.764

Main lines, sorted by position (10 to 80 degrees two-theta):
Position (°2θ), I (rel.)
15.16, 89
21.50, 65
26.41, 32
30.59, 70
34.30, 52
40.85, 93
46.62, 100
51.88, 19
56.79, 22
70.18, 52